# Nd2Ho2CBr4F
Computed powder diffraction line list, a wavelength of 1.5418 Å. Input: a DFT-relaxed cell (GGA-PBE, OQMD).

Largest 10 diffraction maxima, most intense first, 2θ = 10–90°:
- 33.6°, rel. 100, hkl 1 1 -2
- 11.9°, rel. 51, hkl 0 0 1
- 30.4°, rel. 42, hkl 6 0 0
- 34.9°, rel. 40, hkl 5 1 0
- 45.7°, rel. 27, hkl 5 1 2
- 46.3°, rel. 23, hkl 7 1 -2
- 26.6°, rel. 18, hkl 1 1 -1
- 48.4°, rel. 18, hkl 0 2 0
- 31.9°, rel. 17, hkl 3 1 1
- 34.5°, rel. 17, hkl 4 0 2

Structure:
```
data_Nd2Ho2CBr4F
_chemical_formula_sum 'Nd4 Ho4 C2 Br8 F2'
_symmetry_space_group_name_H-M 'C 1 2/m 1'
_symmetry_Int_Tables_number 12
_cell_length_a 17.9627
_cell_length_b 3.7610
_cell_length_c 7.5621
_cell_angle_alpha 90.00
_cell_angle_beta 101.19
_cell_angle_gamma 90.00
loop_
_symmetry_equiv_pos_as_xyz
'x,y,z'
'-x,-y,-z'
'-x,y,-z'
'x,-y,z'
'x+1/2,y+1/2,z'
'-x+1/2,-y+1/2,-z'
'-x+1/2,y+1/2,-z'
'x+1/2,-y+1/2,z'
loop_
_atom_site_label
_atom_site_type_symbol
_atom_site_fract_x
_atom_site_fract_y
_atom_site_fract_z
Nd1 Nd 0.0025 0.0000 0.2649
Ho1 Ho 0.1351 0.5000 0.5709
C1 C 0.0000 0.5000 0.5000
Br1 Br 0.1657 0.0000 0.8536
Br2 Br 0.1752 0.0000 0.3217
F1 F 0.0000 0.5000 0.0000
```


# Lu4AsN3
Computed powder diffraction line list, a wavelength of 1.5418 Å. Input: a DFT-relaxed cell (GGA-PBE, OQMD).

Largest 10 diffraction maxima, most intense first, 2θ = 10–90°:
- 37.8°, rel. 100, hkl 1 0 6
- 35.6°, rel. 70, hkl 1 0 5
- 53.6°, rel. 50, hkl 1 1 0
- 31.1°, rel. 44, hkl 1 0 2
- 33.8°, rel. 30, hkl 1 0 4
- 67.2°, rel. 27, hkl 1 1 10
- 55.3°, rel. 25, hkl 1 0 12
- 37.4°, rel. 24, hkl 0 0 10
- 32.2°, rel. 19, hkl 1 0 3
- 67.5°, rel. 18, hkl 2 0 6

Structure:
```
data_Lu4AsN3
_chemical_formula_sum 'Lu8 As2 N6'
_symmetry_space_group_name_H-M 'P 63/m m c'
_symmetry_Int_Tables_number 194
_symmetry_space_group_name_Hall '-P 6c 2c'
_cell_length_a 3.4167
_cell_length_b 3.4167
_cell_length_c 24.0671
_cell_angle_alpha 90.00
_cell_angle_beta 90.00
_cell_angle_gamma 120.00
loop_
_atom_site_label
_atom_site_type_symbol
_atom_site_fract_x
_atom_site_fract_y
_atom_site_fract_z
Lu1 Lu 0.0000 0.0000 0.1651
Lu2 Lu 0.3333 0.6667 0.0548
As1 As 0.3333 0.6667 0.2500
N1 N 0.0000 0.0000 0.0000
N2 N 0.3333 0.6667 0.6145
```


# LiGdCu4
Computed powder diffraction line list, a wavelength of 1.5418 Å. Input: a DFT-relaxed cell (GGA-PBE, OQMD).

Largest 10 diffraction maxima, most intense first, 2θ = 10–90°:
- 41.9°, rel. 100, hkl 3 1 1
- 43.9°, rel. 39, hkl 2 2 2
- 24.9°, rel. 32, hkl 2 0 0
- 68.2°, rel. 30, hkl 5 1 1
- 21.5°, rel. 28, hkl 1 1 1
- 35.5°, rel. 27, hkl 2 2 0
- 75.2°, rel. 21, hkl 4 4 0
- 57.7°, rel. 11, hkl 4 2 0
- 63.8°, rel. 10, hkl 4 2 2
- 56.1°, rel. 8, hkl 3 3 1

Structure:
```
data_LiGdCu4
_chemical_formula_sum 'Li4 Gd4 Cu16'
_symmetry_space_group_name_H-M 'F -4 3 m'
_symmetry_Int_Tables_number 216
_symmetry_space_group_name_Hall 'F -4 2 3'
_cell_length_a 7.1454
_cell_length_b 7.1454
_cell_length_c 7.1454
_cell_angle_alpha 90.00
_cell_angle_beta 90.00
_cell_angle_gamma 90.00
loop_
_atom_site_label
_atom_site_type_symbol
_atom_site_fract_x
_atom_site_fract_y
_atom_site_fract_z
Li1 Li 0.0000 0.0000 0.0000
Gd1 Gd 0.2500 0.2500 0.2500
Cu1 Cu 0.1266 0.1266 0.6266
```


# Nd2Sm2C2Br2Cl3
Computed powder diffraction line list, a wavelength of 1.5418 Å. Input: a DFT-relaxed cell (GGA-PBE, OQMD).

Largest 10 diffraction maxima, most intense first, 2θ = 10–90°:
- 32.2°, rel. 100, hkl 1 1 -2
- 29.2°, rel. 70, hkl 6 0 0
- 11.4°, rel. 47, hkl 0 0 1
- 44.3°, rel. 39, hkl 5 1 2
- 43.7°, rel. 38, hkl 7 1 -2
- 28.3°, rel. 31, hkl 3 1 -1
- 30.9°, rel. 31, hkl 3 1 1
- 13.1°, rel. 23, hkl 2 0 -1
- 56.2°, rel. 21, hkl 6 2 0
- 46.9°, rel. 20, hkl 0 2 0

Structure:
```
data_Nd2Sm2C2Br2Cl3
_chemical_formula_sum 'Nd4 Sm4 C4 Br4 Cl6'
_symmetry_space_group_name_H-M 'C 1 2/m 1'
_symmetry_Int_Tables_number 12
_cell_length_a 18.8925
_cell_length_b 3.8711
_cell_length_c 7.9773
_cell_angle_alpha 90.00
_cell_angle_beta 103.41
_cell_angle_gamma 90.00
loop_
_symmetry_equiv_pos_as_xyz
'x,y,z'
'-x,-y,-z'
'-x,y,-z'
'x,-y,z'
'x+1/2,y+1/2,z'
'-x+1/2,-y+1/2,-z'
'-x+1/2,y+1/2,-z'
'x+1/2,-y+1/2,z'
loop_
_atom_site_label
_atom_site_type_symbol
_atom_site_fract_x
_atom_site_fract_y
_atom_site_fract_z
Nd1 Nd 0.0016 0.0000 0.2907
Sm1 Sm 0.1588 0.5000 0.5973
C1 C 0.0382 0.5000 0.5232
Br1 Br 0.1634 0.0000 0.8718
Cl1 Cl 0.0000 0.5000 0.0000
Cl2 Cl 0.1722 0.0000 0.3461
```


# Au4O5
Computed powder diffraction line list, a wavelength of 1.5418 Å. Input: a DFT-relaxed cell (GGA-PBE, OQMD).

Largest 10 diffraction maxima, most intense first, 2θ = 10–90°:
- 34.0°, rel. 100, hkl 1 0 2
- 31.0°, rel. 74, hkl 1 1 0
- 57.1°, rel. 47, hkl 2 1 2
- 44.5°, rel. 39, hkl 2 0 0
- 73.5°, rel. 14, hkl 3 1 0
- 45.1°, rel. 13, hkl 1 0 3
- 64.7°, rel. 12, hkl 2 2 0
- 75.2°, rel. 11, hkl 3 0 2
- 50.7°, rel. 9, hkl 1 1 3
- 65.2°, rel. 8, hkl 2 1 3

Structure:
```
data_Au4O5
_chemical_formula_sum 'Au4 O5'
_symmetry_space_group_name_H-M 'P 4/m m m'
_symmetry_Int_Tables_number 123
_symmetry_space_group_name_Hall '-P 4 2'
_cell_length_a 4.0733
_cell_length_b 4.0733
_cell_length_c 6.9266
_cell_angle_alpha 90.00
_cell_angle_beta 90.00
_cell_angle_gamma 90.00
loop_
_atom_site_label
_atom_site_type_symbol
_atom_site_fract_x
_atom_site_fract_y
_atom_site_fract_z
Au1 Au 0.0000 0.0000 0.0000
Au2 Au 0.0000 0.0000 0.5000
Au3 Au 0.5000 0.5000 0.1947
O1 O 0.0000 0.5000 0.2574
O2 O 0.5000 0.5000 0.5000
```


# HoTm2O3
Computed powder diffraction line list, a wavelength of 1.5418 Å. Input: a DFT-relaxed cell (GGA-PBE, OQMD).

Largest 10 diffraction maxima, most intense first, 2θ = 10–90°:
- 38.1°, rel. 100, hkl 0 1 2
- 32.8°, rel. 100, hkl 1 0 1
- 65.5°, rel. 44, hkl 1 1 3
- 54.8°, rel. 34, hkl 1 0 4
- 55.0°, rel. 34, hkl 1 1 0
- 32.7°, rel. 34, hkl 0 0 3
- 68.8°, rel. 17, hkl 2 0 2
- 65.3°, rel. 15, hkl 0 1 5
- 81.4°, rel. 11, hkl 0 2 4
- 68.6°, rel. 6, hkl 0 0 6

Structure:
```
data_HoTm2O3
_chemical_formula_sum 'Ho1 Tm2 O3'
_symmetry_space_group_name_H-M 'P -3 m 1'
_symmetry_Int_Tables_number 164
_symmetry_space_group_name_Hall '-P 3 2"'
_cell_length_a 3.3397
_cell_length_b 3.3397
_cell_length_c 8.2103
_cell_angle_alpha 90.00
_cell_angle_beta 90.00
_cell_angle_gamma 120.00
loop_
_atom_site_label
_atom_site_type_symbol
_atom_site_fract_x
_atom_site_fract_y
_atom_site_fract_z
Ho1 Ho 0.0000 0.0000 0.0000
Tm1 Tm 0.3333 0.6667 0.6664
O1 O 0.0000 0.0000 0.5000
O2 O 0.3333 0.6667 0.1781
```


# ZnP4H16N2O16
Computed powder diffraction line list, a wavelength of 1.5418 Å. Input: a DFT-relaxed cell (GGA-PBE, OQMD).

Largest 10 diffraction maxima, most intense first, 2θ = 10–90°:
- 19.4°, rel. 100, hkl 0 1 -1
- 13.7°, rel. 60, hkl 1 0 0
- 26.4°, rel. 55, hkl 0 1 2
- 30.4°, rel. 55, hkl 2 -1 0
- 28.3°, rel. 51, hkl 2 1 1
- 12.6°, rel. 49, hkl 0 0 1
- 35.8°, rel. 41, hkl -2 1 1
- 26.5°, rel. 39, hkl 0 2 1
- 15.1°, rel. 33, hkl 1 0 1
- 16.3°, rel. 31, hkl 0 1 1

Structure:
```
data_ZnP4H16N2O16
_chemical_formula_sum 'Zn1 P4 H16 N2 O16'
_symmetry_space_group_name_H-M 'P -1'
_symmetry_Int_Tables_number 2
_cell_length_a 6.8754
_cell_length_b 7.1037
_cell_length_c 7.5986
_cell_angle_alpha 79.71
_cell_angle_beta 69.82
_cell_angle_gamma 86.96
loop_
_symmetry_equiv_pos_as_xyz
'x,y,z'
'-x,-y,-z'
loop_
_atom_site_label
_atom_site_type_symbol
_atom_site_fract_x
_atom_site_fract_y
_atom_site_fract_z
Zn1 Zn 0.0000 0.0000 0.0000
P1 P 0.1566 0.2405 0.2699
P2 P 0.2670 0.7093 0.7312
H1 H 0.1069 0.2018 0.6566
H2 H 0.1190 0.3394 0.8003
H3 H 0.2509 0.4796 0.0259
H4 H 0.3225 0.9002 0.1747
H5 H 0.3570 0.6608 0.1906
H6 H 0.4040 0.2254 0.4416
H7 H 0.4363 0.1866 0.9125
H8 H 0.4386 0.7784 0.3259
N1 N 0.4207 0.7883 0.1941
O1 O 0.0392 0.2330 0.7867
O2 O 0.0882 0.7281 0.6350
O3 O 0.1943 0.1132 0.1204
O4 O 0.2248 0.1580 0.4370
O5 O 0.2377 0.5097 0.8528
O6 O 0.2612 0.4389 0.1700
O7 O 0.2651 0.8716 0.8345
O8 O 0.4609 0.7160 0.5476
```


# MgZn2
Computed powder diffraction line list, a wavelength of 1.5418 Å. Input: a DFT-relaxed cell (GGA-PBE, OQMD).

Largest 10 diffraction maxima, most intense first, 2θ = 10–90°:
- 40.6°, rel. 100, hkl 1 3 1
- 42.5°, rel. 42, hkl 0 6 1
- 38.9°, rel. 37, hkl 0 0 2
- 22.8°, rel. 24, hkl 0 2 1
- 35.4°, rel. 23, hkl 1 3 0
- 71.6°, rel. 17, hkl 1 3 3
- 79.7°, rel. 16, hkl 1 9 2
- 66.4°, rel. 14, hkl 1 9 0
- 53.6°, rel. 14, hkl 1 3 2
- 78.3°, rel. 13, hkl 2 6 1

Structure:
```
data_MgZn2
_chemical_formula_sum 'Mg4 Zn8'
_symmetry_space_group_name_H-M 'C m c m'
_symmetry_Int_Tables_number 63
_symmetry_space_group_name_Hall '-C 2c 2'
_cell_length_a 2.9831
_cell_length_b 14.3744
_cell_length_c 4.6316
_cell_angle_alpha 90.00
_cell_angle_beta 90.00
_cell_angle_gamma 90.00
loop_
_atom_site_label
_atom_site_type_symbol
_atom_site_fract_x
_atom_site_fract_y
_atom_site_fract_z
Mg1 Mg 0.0000 0.1084 0.2500
Zn1 Zn 0.0000 0.2204 0.7500
Zn2 Zn 0.0000 0.4424 0.2500
```